This entry pairs a crystal structure of RbFe2I2Br6 with its theoretical powder diffractogram. Radiation: CuKα. Structure: a cell relaxed with PBE.
No peak broadening, texture or thermal motion is included.

The 6 most intense peaks (15° ≤ 2θ ≤ 90°), by intensity:
2θ/deg, d_spacing, Rel. int., (hkl)
29.49, 3.029, 100, 2 -1 2
25.77, 3.457, 78, 1 1 1
16.24, 5.458, 64, 1 0 1
41.52, 2.175, 39, 1 1 4
28.46, 3.136, 32, 0 1 3
24.64, 3.613, 30, 0 0 3

Structural model:
```
data_RbFe2I2Br6
_chemical_formula_sum 'Rb1 Fe2 I2 Br6'
_space_group_name_H-M_alt 'P -3'
_space_group_IT_number 147
_cell_length_a 7.2958
_cell_length_b 7.2958
_cell_length_c 10.8377
_cell_angle_alpha 90.00
_cell_angle_beta 90.00
_cell_angle_gamma 120.00
loop_
_space_group_symop_operation_xyz
'x,y,z'
'-x,-y,-z'
'-y,x-y,z'
'y,-x+y,-z'
'-x+y,-x,z'
'x-y,x,-z'
loop_
_atom_site_label
_atom_site_fract_x
_atom_site_fract_y
_atom_site_fract_z
Rb1 0.0000 0.0000 0.0000
Fe1 0.3333 0.6667 0.7409
I1 0.3333 0.6667 0.5079
Br1 0.0035 0.6025 0.8107
```

This entry pairs a crystal structure of LiFeAu2 with its theoretical powder diffractogram. Radiation: CuKα. Structure: a cell relaxed with PBE.
No peak broadening, texture or thermal motion is included.

The 6 most intense peaks (15° ≤ 2θ ≤ 90°), by intensity:
2θ/deg, d_spacing, Rel. int., (hkl)
26.83, 3.323, 100, 0 1 1
38.98, 2.311, 96, 1 1 0
39.59, 2.276, 73, 0 1 2
16.38, 5.412, 53, 0 0 1
36.50, 2.461, 46, 1 0 1
47.00, 1.933, 44, 1 0 2

Structural model:
```
data_LiFeAu2
_chemical_formula_sum 'Li1 Fe1 Au2'
_space_group_name_H-M_alt 'P m m 2'
_space_group_IT_number 25
_cell_length_a 2.764
_cell_length_b 4.211
_cell_length_c 5.412
_cell_angle_alpha 90.00
_cell_angle_beta 90.00
_cell_angle_gamma 90.00
loop_
_space_group_symop_operation_xyz
'x,y,z'
'-x,-y,z'
'-x,y,z'
'x,-y,z'
loop_
_atom_site_label
_atom_site_fract_x
_atom_site_fract_y
_atom_site_fract_z
Li1 0.000 0.000 0.000
Fe1 0.500 0.500 0.699
Au1 0.000 0.000 0.516
Au2 0.500 0.500 0.186
```

This entry pairs a crystal structure of SrCuSbSe3 with its theoretical powder diffractogram. Radiation: CuKα. Structure: a cell relaxed with PBE.
No peak broadening, texture or thermal motion is included.

The 6 most intense peaks (15° ≤ 2θ ≤ 90°), by intensity:
2θ/deg, d_spacing, Rel. int., (hkl)
30.23, 2.956, 100, 2 1 0
30.39, 2.942, 84, 2 1 -1
30.52, 2.929, 54, 0 0 3
37.26, 2.413, 47, 1 1 -3
43.98, 2.059, 41, 0 2 0
41.49, 2.176, 32, 4 0 -1

Structural model:
```
data_SrCuSbSe3
_chemical_formula_sum 'Sr2 Cu2 Sb2 Se6'
_space_group_name_H-M_alt 'P 1 21/m 1'
_space_group_IT_number 11
_cell_length_a 8.708
_cell_length_b 4.118
_cell_length_c 9.008
_cell_angle_alpha 90.00
_cell_angle_beta 102.74
_cell_angle_gamma 90.00
loop_
_space_group_symop_operation_xyz
'x,y,z'
'-x,-y,-z'
'-x,y+1/2,-z'
'x,-y+1/2,z'
loop_
_atom_site_label
_atom_site_fract_x
_atom_site_fract_y
_atom_site_fract_z
Sr1 0.177 0.250 0.244
Cu1 0.073 0.250 0.577
Sb1 0.334 0.750 0.842
Se1 0.109 0.250 0.870
Se2 0.219 0.750 0.514
Se3 0.432 0.750 0.168
```

This entry pairs a crystal structure of TiCr2SiAu with its theoretical powder diffractogram. Radiation: CuKα. Structure: a cell relaxed with PBE.
No peak broadening, texture or thermal motion is included.

The 6 most intense peaks (15° ≤ 2θ ≤ 90°), by intensity:
2θ/deg, d_spacing, Rel. int., (hkl)
34.84, 2.575, 100, 1 1 1
28.05, 3.181, 53, 1 0 1
41.18, 2.192, 43, 2 0 0
57.99, 1.591, 30, 2 0 2
38.97, 2.311, 25, 0 0 2
20.25, 4.385, 24, 1 0 0

Structural model:
```
data_TiCr2SiAu
_chemical_formula_sum 'Ti1 Cr2 Si1 Au1'
_space_group_name_H-M_alt 'P 4/m m m'
_space_group_IT_number 123
_space_group_name_Hall '-P 4 2'
_cell_length_a 4.385
_cell_length_b 4.385
_cell_length_c 4.622
_cell_angle_alpha 90.00
_cell_angle_beta 90.00
_cell_angle_gamma 90.00
loop_
_atom_site_label
_atom_site_fract_x
_atom_site_fract_y
_atom_site_fract_z
Ti1 0.000 0.000 0.000
Cr1 0.000 0.500 0.500
Si1 0.000 0.000 0.500
Au1 0.500 0.500 0.000
```

This entry pairs a crystal structure of K2AcAs2S6 with its theoretical powder diffractogram. Radiation: CuKα. Structure: a cell relaxed with PBE.
No peak broadening, texture or thermal motion is included.

The 6 most intense peaks (15° ≤ 2θ ≤ 90°), by intensity:
2θ/deg, d_spacing, Rel. int., (hkl)
16.13, 5.495, 100, 1 1 -1
23.99, 3.709, 94, 1 1 -2
25.32, 3.518, 89, 3 1 -1
16.68, 5.316, 67, 2 0 0
21.06, 4.219, 53, 1 1 1
24.40, 3.649, 47, 0 2 0

Structural model:
```
data_K2AcAs2S6
_chemical_formula_sum 'K4 Ac2 As4 S12'
_space_group_name_H-M_alt 'C 1 2/m 1'
_space_group_IT_number 12
_cell_length_a 12.044
_cell_length_b 7.300
_cell_length_c 8.679
_cell_angle_alpha 90.00
_cell_angle_beta 118.03
_cell_angle_gamma 90.00
loop_
_space_group_symop_operation_xyz
'x,y,z'
'-x,-y,-z'
'-x,y,-z'
'x,-y,z'
'x+1/2,y+1/2,z'
'-x+1/2,-y+1/2,-z'
'-x+1/2,y+1/2,-z'
'x+1/2,-y+1/2,z'
loop_
_atom_site_label
_atom_site_fract_x
_atom_site_fract_y
_atom_site_fract_z
K1 0.200 0.000 0.174
Ac1 0.000 0.000 0.500
As1 0.041 0.500 0.184
S1 0.063 0.252 0.803
S2 0.234 0.500 0.411
```

This entry pairs a crystal structure of Tb5Tm12Sc2 with its theoretical powder diffractogram. Radiation: CuKα. Structure: a cell relaxed with PBE.
No peak broadening, texture or thermal motion is included.

The 6 most intense peaks (15° ≤ 2θ ≤ 90°), by intensity:
2θ/deg, d_spacing, Rel. int., (hkl)
32.46, 2.758, 100, 5 1 -1
32.33, 2.769, 77, 4 0 2
33.72, 2.658, 77, 1 1 -3
30.94, 2.890, 61, 2 2 -2
30.67, 2.915, 56, 4 2 0
31.86, 2.809, 55, 1 3 -1

Structural model:
```
data_Tb5Tm12Sc2
_chemical_formula_sum 'Tb10 Tm24 Sc4'
_space_group_name_H-M_alt 'C 1 2/m 1'
_space_group_IT_number 12
_cell_length_a 15.208
_cell_length_b 9.090
_cell_length_c 8.429
_cell_angle_alpha 90.00
_cell_angle_beta 92.17
_cell_angle_gamma 90.00
loop_
_space_group_symop_operation_xyz
'x,y,z'
'-x,-y,-z'
'-x,y,-z'
'x,-y,z'
'x+1/2,y+1/2,z'
'-x+1/2,-y+1/2,-z'
'-x+1/2,y+1/2,-z'
'x+1/2,-y+1/2,z'
loop_
_atom_site_label
_atom_site_fract_x
_atom_site_fract_y
_atom_site_fract_z
Tb1 0.000 0.000 0.000
Tb2 0.205 0.500 0.521
Tb3 0.231 0.000 0.069
Tm1 0.056 0.500 0.834
Tm2 0.073 0.000 0.374
Tm3 0.129 0.308 0.176
Tm4 0.146 0.181 0.736
Sc1 0.000 0.331 0.500
```